# BaZnNi4O8
Computed PXRD pattern, copper Kα. Input: a DFT-relaxed cell (GGA+U, the Materials Project).
Kinematic intensities with the Lorentz-polarization factor, no thermal factor.

Top 12 peaks for 2θ = 15–90°, in order of rising 2θ:
two_theta, I_rel
31.26, 100
33.90, 82
36.11, 12
46.78, 34
49.78, 10
59.01, 32
60.65, 23
61.59, 35
71.32, 9
79.92, 13
81.59, 6
82.19, 13

Structural model:
Lattice parameters (Å, degrees): 5.2894 5.2894 7.3273 90.00 90.00 120.00
Fractional coordinates of all 14 atoms:
Ba 0.0000 0.0000 0.0000
Zn 0.0000 0.0000 0.5000
Ni 0.3333 0.6667 0.2531
Ni 0.3333 0.6667 0.7469
Ni 0.6667 0.3333 0.2531
Ni 0.6667 0.3333 0.7469
O 0.0000 0.3191 0.3236
O 0.0000 0.6809 0.6764
O 0.3191 0.0000 0.3236
O 0.3191 0.3191 0.6764
O 0.3333 0.6667 0.0000
O 0.6667 0.3333 0.0000
O 0.6809 0.0000 0.6764
O 0.6809 0.6809 0.3236


# LiFeF4
Computed PXRD pattern, copper Kα. Input: a DFT-relaxed cell (GGA+U, the Materials Project).
Kinematic intensities with the Lorentz-polarization factor, no thermal factor.

Top 12 peaks for 2θ = 15–90°, in order of rising 2θ:
two_theta, I_rel
15.76, 45
18.22, 92
24.18, 79
24.30, 100
24.64, 54
32.74, 19
36.99, 21
38.19, 47
45.50, 83
52.26, 20
53.62, 20
53.94, 23

Structural model:
Lattice parameters (Å, degrees): 5.5203 5.6248 5.4720 90.00 118.12 90.00
Fractional coordinates of all 12 atoms:
Li 0.0000 0.0947 0.2500
Li 0.0000 0.9053 0.7500
Fe 0.5000 0.3565 0.2500
Fe 0.5000 0.6435 0.7500
F 0.2232 0.1323 0.0446
F 0.2232 0.8677 0.5446
F 0.2984 0.3839 0.4742
F 0.2984 0.6161 0.9742
F 0.7016 0.3839 0.0258
F 0.7016 0.6161 0.5258
F 0.7768 0.1323 0.4554
F 0.7768 0.8677 0.9554


# Li5V3Cr2O10
Computed PXRD pattern, copper Kα. Input: a DFT-relaxed cell (GGA+U, the Materials Project).
Kinematic intensities with the Lorentz-polarization factor, no thermal factor.

Top 12 peaks for 2θ = 15–90°, in order of rising 2θ:
two_theta, I_rel
18.10, 41
18.24, 100
22.69, 27
26.41, 39
35.52, 19
42.31, 76
42.96, 76
43.26, 74
61.59, 22
62.13, 59
62.49, 20
62.73, 20

Structural model:
Lattice parameters (Å, degrees): 5.1433 5.1720 7.8659 71.90 71.52 80.43
Fractional coordinates of all 20 atoms:
Li 0.0000 0.0000 0.0000
Li 0.4810 0.8815 0.7306
Li 0.4955 0.2850 0.9173
Li 0.5045 0.7150 0.0827
Li 0.5190 0.1185 0.2694
V 0.0022 0.8134 0.3901
V 0.5000 0.5000 0.5000
V 0.9978 0.1866 0.6099
Cr 0.0073 0.4061 0.1915
Cr 0.9927 0.5939 0.8085
O 0.2281 0.0520 0.1672
O 0.2291 0.6338 0.9544
O 0.2357 0.8263 0.5581
O 0.2368 0.4459 0.3610
O 0.2477 0.2651 0.7347
O 0.7523 0.7349 0.2653
O 0.7632 0.5541 0.6390
O 0.7643 0.1737 0.4419
O 0.7709 0.3662 0.0456
O 0.7719 0.9480 0.8328


# Sm4MgMo4O14
Computed PXRD pattern, copper Kα. Input: a DFT-relaxed cell (GGA+U, the Materials Project).
Kinematic intensities with the Lorentz-polarization factor, no thermal factor.

Top 12 peaks for 2θ = 15–90°, in order of rising 2θ:
two_theta, I_rel
28.68, 100
28.88, 100
33.27, 20
33.39, 39
47.68, 17
47.85, 66
48.21, 15
56.69, 42
56.78, 14
57.06, 27
77.22, 11
88.99, 14

Structural model:
Lattice parameters (Å, degrees): 7.6034 7.6034 7.5498 119.76 119.76 90.22
Fractional coordinates of all 23 atoms:
Sm 0.9998 0.9998 0.2449
Sm 0.0002 0.0002 0.7551
Sm 0.0046 0.5002 0.7519
Sm 0.4998 0.9954 0.2481
Mg 0.3865 0.6135 0.5000
Mo 0.5092 0.0179 0.7636
Mo 0.5135 0.4864 0.7719
Mo 0.5136 0.4865 0.2281
Mo 0.9821 0.4908 0.2364
O 0.1268 0.8732 0.0000
O 0.1722 0.4095 0.4872
O 0.1725 0.4094 0.0951
O 0.1868 0.8132 0.5000
O 0.4006 0.5994 0.0000
O 0.4064 0.1500 0.5726
O 0.4066 0.1501 0.9840
O 0.5905 0.8278 0.5128
O 0.5906 0.8275 0.9049
O 0.5919 0.4081 0.5000
O 0.8417 0.1583 0.0000
O 0.8499 0.5934 0.0160
O 0.8500 0.5936 0.4274
O 0.8786 0.1214 0.5000


# Mg2MnWO6
Computed PXRD pattern, copper Kα. Input: a DFT-relaxed cell (GGA+U, the Materials Project).
Kinematic intensities with the Lorentz-polarization factor, no thermal factor.

Top 12 peaks for 2θ = 15–90°, in order of rising 2θ:
two_theta, I_rel
19.96, 52
20.28, 36
22.60, 37
23.61, 64
32.91, 100
33.24, 23
34.03, 22
48.30, 23
52.47, 17
53.94, 24
59.18, 23
60.19, 25

Structural model:
Lattice parameters (Å, degrees): 5.2695 5.3911 9.4705 90.00 123.81 90.00
Fractional coordinates of all 20 atoms:
Mg 0.2324 0.0377 0.2276
Mg 0.2324 0.4623 0.7276
Mg 0.7676 0.5377 0.2724
Mg 0.7676 0.9623 0.7724
Mn 0.0000 0.0000 0.5000
Mn 0.0000 0.5000 0.0000
W 0.5000 0.0000 0.0000
W 0.5000 0.5000 0.5000
O 0.1362 0.1660 0.9546
O 0.1362 0.3340 0.4546
O 0.2518 0.7000 0.9042
O 0.2518 0.8000 0.4042
O 0.4032 0.1002 0.7739
O 0.4032 0.3998 0.2739
O 0.5968 0.6002 0.7261
O 0.5968 0.8998 0.2261
O 0.7482 0.2000 0.5958
O 0.7482 0.3000 0.0958
O 0.8638 0.6660 0.5454
O 0.8638 0.8340 0.0454


# Sr2MgW2O8
Computed PXRD pattern, copper Kα. Input: a DFT-relaxed cell (GGA+U, the Materials Project).
Kinematic intensities with the Lorentz-polarization factor, no thermal factor.

Top 12 peaks for 2θ = 15–90°, in order of rising 2θ:
two_theta, I_rel
17.31, 43
24.58, 100
27.89, 55
32.52, 33
32.77, 21
33.50, 22
35.10, 38
35.19, 28
43.46, 20
50.04, 19
50.48, 15
50.62, 13

Structural model:
Lattice parameters (Å, degrees): 5.4175 5.5342 8.1477 106.73 106.02 99.05
Fractional coordinates of all 13 atoms:
Sr 0.0000 0.0000 0.0000
Sr 0.3097 0.8077 0.6174
Mg 0.6457 0.1476 0.2928
W 0.4822 0.4824 0.9646
W 0.8465 0.3451 0.6911
O 0.1315 0.1674 0.7641
O 0.1902 0.6489 0.8840
O 0.4390 0.3182 0.1388
O 0.5515 0.0747 0.4944
O 0.6343 0.5965 0.7642
O 0.6945 0.2354 0.8849
O 0.6964 0.8216 0.1379
O 0.9441 0.4188 0.4935


# Y4Cr13Si2Sb2O28
Computed PXRD pattern, copper Kα. Input: a DFT-relaxed cell (GGA+U, the Materials Project).
Kinematic intensities with the Lorentz-polarization factor, no thermal factor.

Top 12 peaks for 2θ = 15–90°, in order of rising 2θ:
two_theta, I_rel
29.42, 61
30.72, 40
30.90, 100
32.14, 82
33.95, 37
34.39, 78
45.31, 28
51.24, 19
53.30, 47
54.24, 20
58.69, 28
61.78, 20

Structural model:
Lattice parameters (Å, degrees): 12.8234 12.8234 8.8280 92.39 92.39 153.45
Fractional coordinates of all 49 atoms:
Y 0.0077 0.4225 0.1592
Y 0.4225 0.0077 0.1592
Y 0.5775 0.9923 0.8408
Y 0.9923 0.5775 0.8408
Cr 0.0682 0.9318 0.5000
Cr 0.1304 0.3938 0.8611
Cr 0.1646 0.2816 0.1543
Cr 0.2056 0.7944 0.5000
Cr 0.2816 0.1646 0.1543
Cr 0.3938 0.1304 0.8611
Cr 0.5000 0.5000 0.5000
Cr 0.6062 0.8696 0.1389
Cr 0.7184 0.8354 0.8457
Cr 0.7944 0.2056 0.5000
Cr 0.8354 0.7184 0.8457
Cr 0.8696 0.6062 0.1389
Cr 0.9318 0.0682 0.5000
Si 0.2529 0.2529 0.8151
Si 0.7471 0.7471 0.1849
Sb 0.3624 0.6376 0.5000
Sb 0.6376 0.3624 0.5000
O 0.0494 0.3064 0.6269
O 0.0496 0.6273 0.1176
O 0.0858 0.5001 0.4051
O 0.1059 0.2112 0.9007
O 0.1497 0.1497 0.6299
O 0.2096 0.3339 0.3828
O 0.2112 0.1059 0.9007
O 0.2148 0.4757 0.1044
O 0.3064 0.0494 0.6269
O 0.3339 0.2096 0.3828
O 0.3727 0.9504 0.8824
O 0.4645 0.4645 0.1598
O 0.4757 0.2148 0.1044
O 0.5001 0.0858 0.4051
O 0.4999 0.9142 0.5949
O 0.5243 0.7852 0.8956
O 0.5355 0.5355 0.8402
O 0.6273 0.0496 0.1176
O 0.6661 0.7904 0.6172
O 0.6936 0.9506 0.3731
O 0.7852 0.5243 0.8956
O 0.7888 0.8941 0.0993
O 0.7904 0.6661 0.6172
O 0.8503 0.8503 0.3701
O 0.8941 0.7888 0.0993
O 0.9142 0.4999 0.5949
O 0.9504 0.3727 0.8824
O 0.9506 0.6936 0.3731


# CaCo6O2F10
Computed PXRD pattern, copper Kα. Input: a DFT-relaxed cell (GGA+U, the Materials Project).
Kinematic intensities with the Lorentz-polarization factor, no thermal factor.

Top 12 peaks for 2θ = 15–90°, in order of rising 2θ:
two_theta, I_rel
20.90, 100
24.01, 33
26.75, 80
27.24, 30
27.63, 36
29.33, 22
29.93, 31
34.49, 26
37.76, 38
42.66, 26
46.94, 23
57.05, 23

Structural model:
Lattice parameters (Å, degrees): 5.3814 5.4664 9.2674 82.56 89.04 76.19
Fractional coordinates of all 19 atoms:
Ca 0.0000 0.0000 0.0000
Co 0.1456 0.0161 0.5874
Co 0.2536 0.2691 0.3069
Co 0.4361 0.1562 0.8003
Co 0.6773 0.7022 0.4116
Co 0.6898 0.5782 0.0813
Co 0.8116 0.5168 0.7323
O 0.0716 0.1945 0.7646
O 0.3744 0.9596 0.4251
F 0.0254 0.3039 0.1344
F 0.4196 0.8941 0.0115
F 0.4863 0.4967 0.2591
F 0.4865 0.8163 0.7301
F 0.5553 0.3674 0.6368
F 0.6188 0.3110 0.9463
F 0.8367 0.7979 0.2079
F 0.9046 0.6773 0.9079
F 0.9176 0.7719 0.5713
F 0.9485 0.3650 0.4350